This entry pairs a crystal structure of ZnIn2Se4 with its calculated powder diffraction line list. Radiation: λ = 1.5418 Å (Cu Kα). Structure: a PBE-relaxed structure.
Intensities are scaled so that the largest is 100.

Cell and atoms:
a = 5.8809 Å, b = 5.8809 Å, c = 11.5162 Å
α = 90.00°, β = 90.00°, γ = 90.00°
Space group I-42m (No. 121)
One atom of each set of equivalent atoms:
Zn 0.0000 0.0000 0.0000 (multiplicity 2)
In 0.0000 0.5000 0.2500 (multiplicity 4)
Se 0.2404 0.2404 0.6097 (multiplicity 8)

Most intense lines, 15 to 90 degrees two-theta, in order of rising 2θ:
| d/Å | 2θ (°) | Rel. int. | index |
| --- | --- | --- | --- |
| 3.371 | 26.4 | 100 | 1 1 2 |
| 2.619 | 34.2 | 13 | 2 0 2 |
| 2.079 | 43.5 | 26 | 2 2 0 |
| 2.057 | 44.0 | 46 | 2 0 4 |
| 1.770 | 51.7 | 30 | 3 1 2 |
| 1.196 | 80.3 | 15 | 4 2 4 |

***

This entry pairs a crystal structure of ZnIn2Se4 with its calculated powder diffraction line list. Radiation: λ = 1.5418 Å (Cu Kα). Structure: a PBE-relaxed structure.
Intensities are scaled so that the largest is 100.

Cell and atoms:
a = 5.8243 Å, b = 5.8243 Å, c = 11.7131 Å
α = 90.00°, β = 90.00°, γ = 90.00°
Space group I-4 (No. 82)
One atom of each set of equivalent atoms:
Zn 0.0000 0.0000 0.0000 (multiplicity 2)
In 0.0000 0.0000 0.5000 (multiplicity 2)
In 0.0000 0.5000 0.7500 (multiplicity 2)
Se 0.2182 0.7387 0.1307 (multiplicity 8)

Most intense lines, 15 to 90 degrees two-theta, in order of rising 2θ:
| d/Å | 2θ (°) | Rel. int. | index |
| --- | --- | --- | --- |
| 3.369 | 26.5 | 100 | 1 1 2 |
| 2.543 | 35.3 | 14 | 2 1 1 |
| 2.065 | 43.8 | 49 | 2 0 4 |
| 2.059 | 44.0 | 23 | 2 2 0 |
| 1.764 | 51.8 | 15 | 1 1 6 |
| 1.757 | 52.1 | 27 | 1 3 2 |

***

This entry pairs a crystal structure of In3Si with its calculated powder diffraction line list. Radiation: λ = 1.5418 Å (Cu Kα). Structure: a PBE-relaxed structure.
Intensities are scaled so that the largest is 100.

Cell and atoms:
a = 6.5221 Å, b = 6.5221 Å, c = 5.2906 Å
α = 90.00°, β = 90.00°, γ = 120.00°
Space group P6_3/mmc (No. 194)
One atom of each set of equivalent atoms:
In 0.1713 0.3426 0.2500 (multiplicity 6)
Si 0.3333 0.6667 0.7500 (multiplicity 2)

Most intense lines, 15 to 90 degrees two-theta, in order of rising 2θ:
| d/Å | 2θ (°) | Rel. int. | index |
| --- | --- | --- | --- |
| 3.861 | 23.0 | 20 | 1 0 1 |
| 2.824 | 31.7 | 24 | 2 0 0 |
| 2.645 | 33.9 | 27 | 0 0 2 |
| 2.491 | 36.1 | 100 | 2 0 1 |
| 1.496 | 62.0 | 20 | 2 0 3 |
| 1.388 | 67.5 | 20 | 2 2 2 |

***

This entry pairs a crystal structure of In3Si with its calculated powder diffraction line list. Radiation: λ = 1.5418 Å (Cu Kα). Structure: a PBE-relaxed structure.
Intensities are scaled so that the largest is 100.

Cell and atoms:
a = 4.5985 Å, b = 4.5985 Å, c = 4.5985 Å
α = 90.00°, β = 90.00°, γ = 90.00°
Space group Pm-3m (No. 221)
One atom of each set of equivalent atoms:
In 0.0000 0.0000 0.5000 (multiplicity 3)
Si 0.5000 0.5000 0.5000 (multiplicity 1)

Most intense lines, 15 to 90 degrees two-theta, in order of rising 2θ:
| d/Å | 2θ (°) | Rel. int. | index |
| --- | --- | --- | --- |
| 4.598 | 19.3 | 16 | 1 0 0 |
| 3.252 | 27.4 | 14 | 1 1 0 |
| 2.655 | 33.8 | 100 | 1 1 1 |
| 2.299 | 39.2 | 49 | 2 0 0 |
| 1.626 | 56.6 | 33 | 2 2 0 |
| 1.386 | 67.6 | 38 | 3 1 1 |

***

This entry pairs a crystal structure of InSiTe3 with its calculated powder diffraction line list. Radiation: λ = 1.5418 Å (Cu Kα). Structure: a PBE-relaxed structure.
Intensities are scaled so that the largest is 100.

Cell and atoms:
a = 7.1711 Å, b = 7.1711 Å, c = 7.5006 Å
α = 90.00°, β = 90.00°, γ = 120.00°
Space group P-31m (No. 162)
One atom of each set of equivalent atoms:
In 0.3333 0.6667 0.0000 (multiplicity 2)
Si 0.0000 0.0000 0.1552 (multiplicity 2)
Te 0.0000 0.3372 0.2563 (multiplicity 6)

Most intense lines, 15 to 90 degrees two-theta, in order of rising 2θ:
| d/Å | 2θ (°) | Rel. int. | index |
| --- | --- | --- | --- |
| 3.750 | 23.7 | 14 | 0 0 2 |
| 3.235 | 27.6 | 100 | 2 -1 1 |
| 2.592 | 34.6 | 38 | 1 1 2 |
| 2.070 | 43.7 | 31 | 3 0 0 |
| 2.051 | 44.2 | 24 | 1 1 3 |
| 1.744 | 52.5 | 16 | 2 2 1 |

***

This entry pairs a crystal structure of InSiTe3 with its calculated powder diffraction line list. Radiation: λ = 1.5418 Å (Cu Kα). Structure: a PBE-relaxed structure.
Intensities are scaled so that the largest is 100.

Cell and atoms:
a = 7.3890 Å, b = 7.3890 Å, c = 5.1963 Å
α = 90.00°, β = 90.00°, γ = 120.00°
Space group P3 (No. 143)
One atom of each set of equivalent atoms:
In 0.0000 0.0000 0.0000 (multiplicity 1)
Si 0.6667 0.3333 0.8115 (multiplicity 1)
Te 0.0227 0.6334 0.8032 (multiplicity 3)

Most intense lines, 15 to 90 degrees two-theta, in order of rising 2θ:
| d/Å | 2θ (°) | Rel. int. | index |
| --- | --- | --- | --- |
| 5.196 | 17.1 | 100 | 0 0 1 |
| 3.695 | 24.1 | 55 | 1 1 0 |
| 3.200 | 27.9 | 25 | 2 0 0 |
| 3.011 | 29.7 | 81 | 2 -1 1 |
| 2.125 | 42.5 | 40 | 2 -1 2 |
| 1.973 | 46.0 | 29 | 3 0 1 |

***

This entry pairs a crystal structure of SmIn with its calculated powder diffraction line list. Radiation: λ = 1.5418 Å (Cu Kα). Structure: a PBE-relaxed structure.
Intensities are scaled so that the largest is 100.

Cell and atoms:
a = 3.8393 Å, b = 3.8393 Å, c = 3.8393 Å
α = 90.00°, β = 90.00°, γ = 90.00°
Space group Pm-3m (No. 221)
One atom of each set of equivalent atoms:
Sm 0.0000 0.0000 0.0000 (multiplicity 1)
In 0.5000 0.5000 0.5000 (multiplicity 1)

Most intense lines, 15 to 90 degrees two-theta, in order of rising 2θ:
| d/Å | 2θ (°) | Rel. int. | index |
| --- | --- | --- | --- |
| 2.715 | 33.0 | 100 | 1 1 0 |
| 1.920 | 47.4 | 18 | 2 0 0 |
| 1.567 | 58.9 | 37 | 2 1 1 |
| 1.357 | 69.2 | 11 | 2 2 0 |
| 1.214 | 78.8 | 16 | 3 1 0 |
| 1.108 | 88.1 | 4 | 2 2 2 |

***

This entry pairs a crystal structure of Sm3In5 with its calculated powder diffraction line list. Radiation: λ = 1.5418 Å (Cu Kα). Structure: a PBE-relaxed structure.
Intensities are scaled so that the largest is 100.

Cell and atoms:
a = 10.1567 Å, b = 8.2155 Å, c = 10.5793 Å
α = 90.00°, β = 90.00°, γ = 90.00°
Space group Cmcm (No. 63)
One atom of each set of equivalent atoms:
Sm 0.0000 0.1277 0.2500 (multiplicity 4)
Sm 0.2025 0.5000 0.0000 (multiplicity 8)
In 0.0000 0.1909 0.5469 (multiplicity 8)
In 0.0000 0.4889 0.7500 (multiplicity 4)
In 0.2158 0.2085 0.7500 (multiplicity 8)

Most intense lines, 15 to 90 degrees two-theta, in order of rising 2θ:
| d/Å | 2θ (°) | Rel. int. | index |
| --- | --- | --- | --- |
| 2.734 | 32.8 | 100 | 2 2 2 |
| 2.694 | 33.3 | 25 | 3 1 2 |
| 2.644 | 33.9 | 69 | 0 0 4 |
| 2.539 | 35.3 | 25 | 4 0 0 |
| 2.367 | 38.0 | 22 | 2 2 3 |
| 2.341 | 38.5 | 23 | 3 1 3 |

***

This entry pairs a crystal structure of Sm2In with its calculated powder diffraction line list. Radiation: λ = 1.5418 Å (Cu Kα). Structure: a PBE-relaxed structure.
Intensities are scaled so that the largest is 100.

Cell and atoms:
a = 5.5477 Å, b = 5.5477 Å, c = 6.9119 Å
α = 90.00°, β = 90.00°, γ = 120.00°
Space group P6_3/mmc (No. 194)
One atom of each set of equivalent atoms:
Sm 0.0000 0.0000 0.0000 (multiplicity 2)
Sm 0.3333 0.6667 0.2500 (multiplicity 2)
In 0.3333 0.6667 0.7500 (multiplicity 2)

Most intense lines, 15 to 90 degrees two-theta, in order of rising 2θ:
| d/Å | 2θ (°) | Rel. int. | index |
| --- | --- | --- | --- |
| 2.806 | 31.9 | 95 | 1 0 2 |
| 2.774 | 32.3 | 100 | 1 1 0 |
| 1.973 | 46.0 | 34 | 2 0 2 |
| 1.608 | 57.3 | 36 | 2 1 2 |
| 1.601 | 57.6 | 19 | 3 0 0 |
| 1.467 | 63.4 | 28 | 1 1 4 |

***

This entry pairs a crystal structure of Sm2ZnIn with its calculated powder diffraction line list. Radiation: λ = 1.5418 Å (Cu Kα). Structure: a PBE-relaxed structure.
Intensities are scaled so that the largest is 100.

Cell and atoms:
a = 7.5278 Å, b = 7.5278 Å, c = 7.5278 Å
α = 90.00°, β = 90.00°, γ = 90.00°
Space group Fm-3m (No. 225)
One atom of each set of equivalent atoms:
Sm 0.2500 0.2500 0.2500 (multiplicity 8)
Zn 0.0000 0.0000 0.0000 (multiplicity 4)
In 0.0000 0.0000 0.5000 (multiplicity 4)

Most intense lines, 15 to 90 degrees two-theta, in order of rising 2θ:
| d/Å | 2θ (°) | Rel. int. | index |
| --- | --- | --- | --- |
| 3.764 | 23.6 | 6 | 2 0 0 |
| 2.661 | 33.7 | 100 | 2 2 0 |
| 1.882 | 48.4 | 18 | 4 0 0 |
| 1.537 | 60.2 | 37 | 4 2 2 |
| 1.331 | 70.8 | 11 | 4 4 0 |
| 1.190 | 80.7 | 16 | 6 2 0 |

***

This entry pairs a crystal structure of SmZnIn with its calculated powder diffraction line list. Radiation: λ = 1.5418 Å (Cu Kα). Structure: a PBE-relaxed structure.
Intensities are scaled so that the largest is 100.

Cell and atoms:
a = 4.7153 Å, b = 4.7153 Å, c = 7.4879 Å
α = 90.00°, β = 90.00°, γ = 120.00°
Space group P6_3/mmc (No. 194)
One atom of each set of equivalent atoms:
Sm 0.0000 0.0000 0.0000 (multiplicity 2)
Zn 0.3333 0.6667 0.2500 (multiplicity 2)
In 0.3333 0.6667 0.7500 (multiplicity 2)

Most intense lines, 15 to 90 degrees two-theta, in order of rising 2θ:
| d/Å | 2θ (°) | Rel. int. | index |
| --- | --- | --- | --- |
| 2.760 | 32.4 | 100 | 1 0 2 |
| 2.358 | 38.2 | 62 | 1 1 0 |
| 1.793 | 50.9 | 28 | 2 0 2 |
| 1.466 | 63.5 | 27 | 1 1 4 |
| 1.427 | 65.4 | 26 | 2 1 2 |
| 1.101 | 88.9 | 11 | 3 0 4 |

***

This entry pairs a crystal structure of InSn3 with its calculated powder diffraction line list. Radiation: λ = 1.5418 Å (Cu Kα). Structure: a PBE-relaxed structure.
Intensities are scaled so that the largest is 100.

Cell and atoms:
a = 4.8161 Å, b = 4.8161 Å, c = 4.8161 Å
α = 90.00°, β = 90.00°, γ = 90.00°
Space group Pm-3m (No. 221)
One atom of each set of equivalent atoms:
In 0.0000 0.0000 0.0000 (multiplicity 1)
Sn 0.0000 0.5000 0.5000 (multiplicity 3)

Most intense lines, 15 to 90 degrees two-theta, in order of rising 2θ:
| d/Å | 2θ (°) | Rel. int. | index |
| --- | --- | --- | --- |
| 2.781 | 32.2 | 100 | 1 1 1 |
| 2.408 | 37.3 | 51 | 2 0 0 |
| 1.703 | 53.8 | 36 | 2 2 0 |
| 1.452 | 64.1 | 43 | 3 1 1 |
| 1.390 | 67.4 | 12 | 2 2 2 |
| 1.105 | 88.5 | 19 | 3 3 1 |

***

This entry pairs a crystal structure of InSn3 with its calculated powder diffraction line list. Radiation: λ = 1.5418 Å (Cu Kα). Structure: a PBE-relaxed structure.
Intensities are scaled so that the largest is 100.

Cell and atoms:
a = 6.7342 Å, b = 6.7342 Å, c = 5.6061 Å
α = 90.00°, β = 90.00°, γ = 120.00°
Space group P6_3/mmc (No. 194)
One atom of each set of equivalent atoms:
In 0.3333 0.6667 0.2500 (multiplicity 2)
Sn 0.1672 0.3345 0.7500 (multiplicity 6)

Most intense lines, 15 to 90 degrees two-theta, in order of rising 2θ:
| d/Å | 2θ (°) | Rel. int. | index |
| --- | --- | --- | --- |
| 2.916 | 30.7 | 23 | 2 0 0 |
| 2.803 | 31.9 | 28 | 0 0 2 |
| 2.587 | 34.7 | 100 | 2 0 1 |
| 1.684 | 54.5 | 19 | 2 2 0 |
| 1.573 | 58.7 | 22 | 2 0 3 |
| 1.443 | 64.6 | 23 | 2 2 2 |

***

This entry pairs a crystal structure of InSn4 with its calculated powder diffraction line list. Radiation: λ = 1.5418 Å (Cu Kα). Structure: a PBE-relaxed structure.
Intensities are scaled so that the largest is 100.

Cell and atoms:
a = 3.1866 Å, b = 28.9755 Å, c = 3.0541 Å
α = 90.00°, β = 90.00°, γ = 90.00°
Space group Cmmm (No. 65)
One atom of each set of equivalent atoms:
In 0.0000 0.0000 0.0000 (multiplicity 2)
Sn 0.0000 0.2000 0.0000 (multiplicity 4)
Sn 0.0000 0.3995 0.0000 (multiplicity 4)

Most intense lines, 15 to 90 degrees two-theta, in order of rising 2θ:
| d/Å | 2θ (°) | Rel. int. | index |
| --- | --- | --- | --- |
| 3.054 | 29.2 | 63 | 0 0 1 |
| 2.898 | 30.9 | 55 | 0 10 0 |
| 2.792 | 32.1 | 100 | 1 5 0 |
| 2.102 | 43.0 | 45 | 0 10 1 |
| 2.061 | 43.9 | 85 | 1 5 1 |
| 1.453 | 64.1 | 28 | 1 15 1 |

***

This entry pairs a crystal structure of InSn3 with its calculated powder diffraction line list. Radiation: λ = 1.5418 Å (Cu Kα). Structure: a PBE-relaxed structure.
Intensities are scaled so that the largest is 100.

Cell and atoms:
a = 3.3671 Å, b = 3.3671 Å, c = 11.2248 Å
α = 90.00°, β = 90.00°, γ = 120.00°
Space group P-6m2 (No. 187)
One atom of each set of equivalent atoms:
In 0.0000 0.0000 0.0000 (multiplicity 1)
Sn 0.0000 0.0000 0.5000 (multiplicity 1)
Sn 0.6667 0.3333 0.2495 (multiplicity 2)

Most intense lines, 15 to 90 degrees two-theta, in order of rising 2θ:
| d/Å | 2θ (°) | Rel. int. | index |
| --- | --- | --- | --- |
| 2.916 | 30.7 | 23 | 1 0 0 |
| 2.806 | 31.9 | 28 | 0 0 4 |
| 2.588 | 34.7 | 100 | 1 0 2 |
| 1.684 | 54.5 | 19 | 1 1 0 |
| 1.575 | 58.6 | 22 | 1 0 6 |
| 1.444 | 64.6 | 23 | 1 1 4 |